# 1
Starting from DFT lattice parameters and positions (PBE), the PXRD pattern of Cs3SbS3 was calculated for CuKα.
Kinematic intensities with the Lorentz-polarization factor, no thermal factor.

Atomic structure:
```
data_Cs3SbS3
_cell_length_a 10.4815
_cell_length_b 10.4815
_cell_length_c 10.4815
_cell_angle_alpha 90.00
_cell_angle_beta 90.00
_cell_angle_gamma 90.00
_space_group_name_H-M_alt 'P 21 3'
_space_group_IT_number 198
_space_group_name_Hall 'P 2ac 2ab 3'
loop_
_atom_site_label
_atom_site_type_symbol
_atom_site_fract_x
_atom_site_fract_y
_atom_site_fract_z
Cs1 Cs 0.0580 0.0580 0.0580
Cs2 Cs 0.0594 0.9406 0.4406
Cs3 Cs 0.1795 0.3205 0.6795
Sb1 Sb 0.2246 0.7246 0.7754
S1 S 0.0508 0.2584 0.3418
```

Most intense lines, 10 to 90 degrees two-theta, most intense first:
2θ/deg  Rel. int.  h k l
26.90  100  3 1 0
24.01  72  2 2 0
31.95  56  3 2 1
44.05  50  4 1 3
20.76  27  2 1 1
42.24  20  4 2 2
47.51  19  5 1 2
56.94  19  5 4 1



# 2
Starting from DFT lattice parameters and positions (PBE), the PXRD pattern of Cs2Sn3Sb2S10 was calculated for CuKα.
Kinematic intensities with the Lorentz-polarization factor, no thermal factor.

Atomic structure:
```
data_Cs2Sn3Sb2S10
_cell_length_a 7.1944
_cell_length_b 13.7949
_cell_length_c 12.3009
_cell_angle_alpha 90.00
_cell_angle_beta 120.75
_cell_angle_gamma 90.00
_space_group_name_H-M_alt 'P 1 21/c 1'
_space_group_IT_number 14
loop_
_space_group_symop_operation_xyz
'x,y,z'
'-x,-y,-z'
'-x,y+1/2,-z+1/2'
'x,-y+1/2,z+1/2'
loop_
_atom_site_label
_atom_site_type_symbol
_atom_site_fract_x
_atom_site_fract_y
_atom_site_fract_z
Cs1 Cs 0.0392 0.1650 0.1554
Sn1 Sn 0.0000 0.0000 0.5000
Sn2 Sn 0.3933 0.0533 0.8481
Sb1 Sb 0.4914 0.1419 0.5966
S1 S 0.0072 0.0599 0.7033
S2 S 0.0994 0.1705 0.4620
S3 S 0.4219 0.5287 0.1312
S4 S 0.4288 0.6908 0.6844
S5 S 0.4320 0.1023 0.0565
```

Most intense lines, 10 to 90 degrees two-theta, most intense first:
2θ/deg  Rel. int.  h k l
22.98  100  1 3 -1
28.88  71  2 0 0
23.84  62  1 2 1
17.85  61  1 2 -1
25.31  49  1 2 -3
36.75  42  0 5 2
17.97  42  0 1 2
13.92  37  1 1 -1



# 3
Starting from DFT lattice parameters and positions (PBE), the PXRD pattern of CsSmSiS4 was calculated for CuKα.
Kinematic intensities with the Lorentz-polarization factor, no thermal factor.

Atomic structure:
```
data_CsSmSiS4
_cell_length_a 6.4962
_cell_length_b 6.8030
_cell_length_c 18.0591
_cell_angle_alpha 90.00
_cell_angle_beta 90.00
_cell_angle_gamma 90.00
_space_group_name_H-M_alt 'P 21 21 21'
_space_group_IT_number 19
loop_
_space_group_symop_operation_xyz
'x,y,z'
'-x+1/2,-y,z+1/2'
'x+1/2,-y+1/2,-z'
'-x,y+1/2,-z+1/2'
loop_
_atom_site_label
_atom_site_type_symbol
_atom_site_fract_x
_atom_site_fract_y
_atom_site_fract_z
Cs1 Cs 0.0035 0.0064 0.4665
Sm1 Sm 0.2075 0.0208 0.7283
Si1 Si 0.2100 0.5157 0.3323
S1 S 0.0495 0.0112 0.0971
S2 S 0.0711 0.2557 0.8538
S3 S 0.1086 0.7466 0.8444
S4 S 0.1128 0.5703 0.2213
```

Most intense lines, 10 to 90 degrees two-theta, most intense first:
2θ/deg  Rel. int.  h k l
39.64  100  2 2 2
19.52  100  1 1 1
29.22  99  2 0 2
26.20  87  0 2 0
23.65  66  0 1 4
32.97  65  0 2 4
21.32  63  1 1 2
31.25  62  1 1 5